(1)
# Ac3CdRh2
Calculated XRD peak list, Cu Ka. Input: a GGA-PBE-relaxed structure.

Peak list (10 most intense, 15° ≤ 2θ ≤ 90°, low angle first)
two_theta	intensity
21.4	28
23.1	45
25.2	39
32.9	100
34.5	54
34.9	42
36.4	53
53.7	31
61.0	24
66.4	26

Cell and atoms:
Lattice parameters (Å, degrees): 7.061 13.829 7.696 90.00 90.00 90.00
Space group Ibam (No. 72)
Symmetry-distinct sites (fractional):
Ac  0.000  0.000  0.250 (multiplicity 4)
Ac  0.000  0.286  0.250 (multiplicity 8)
Cd  0.000  0.500  0.000 (multiplicity 4)
Rh  0.207  0.138  0.000 (multiplicity 8)

---

(2)
# Rb2Na12Se7
Calculated XRD peak list, Cu Ka. Input: a GGA-PBE-relaxed structure.

Peak list (10 most intense, 15° ≤ 2θ ≤ 90°, low angle first)
two_theta	intensity
22.9	43
24.4	25
26.0	68
30.1	100
37.1	30
39.0	29
40.2	54
43.1	36
57.3	31
62.7	18

Cell and atoms:
Lattice parameters (Å, degrees): 11.8561 11.8561 4.6134 90.00 90.00 120.00
Space group P-6 (No. 174)
Symmetry-distinct sites (fractional):
Rb  0.0000  0.0000  0.0000 (multiplicity 1)
Rb  0.3333  0.6667  0.5000 (multiplicity 1)
Na  0.0556  0.2843  0.5000 (multiplicity 3)
Na  0.0953  0.7001  0.0000 (multiplicity 3)
Na  0.3912  0.1764  0.0000 (multiplicity 3)
Na  0.5471  0.4307  0.5000 (multiplicity 3)
Se  0.0792  0.4453  0.0000 (multiplicity 3)
Se  0.2633  0.2173  0.5000 (multiplicity 3)
Se  0.6667  0.3333  0.0000 (multiplicity 1)

---

(3)
# Er2AlOs3
Calculated XRD peak list, Cu Ka. Input: a GGA-PBE-relaxed structure.

Peak list (10 most intense, 15° ≤ 2θ ≤ 90°, low angle first)
two_theta	intensity
20.7	27
33.9	60
39.3	100
39.5	63
40.0	35
41.2	53
59.9	24
64.6	22
69.9	26
71.2	25

Cell and atoms:
Lattice parameters (Å, degrees): 5.3810 5.3810 12.8660 90.00 90.00 120.00
Space group R-3m (No. 166, hexagonal axes)
Symmetry-distinct sites (fractional):
Er  0.0000  0.0000  0.1222 (multiplicity 6)
Al  0.0000  0.0000  0.5000 (multiplicity 3)
Os  0.0000  0.5000  0.0000 (multiplicity 9)

---

(4)
# Ac2MgIr
Calculated XRD peak list, Cu Ka. Input: a GGA-PBE-relaxed structure.

Peak list (10 most intense, 15° ≤ 2θ ≤ 90°, low angle first)
two_theta	intensity
16.1	20
23.1	28
24.0	27
26.8	24
31.2	61
32.6	39
35.4	100
41.4	23
46.2	22
53.6	19

Cell and atoms:
Lattice parameters (Å, degrees): 4.364 15.413 7.845 90.00 90.00 90.00
Space group Cmcm (No. 63)
Symmetry-distinct sites (fractional):
Ac  0.000  0.145  0.002 (multiplicity 8)
Mg  0.000  0.487  0.750 (multiplicity 4)
Ir  0.000  0.308  0.750 (multiplicity 4)